This entry pairs a crystal structure of Ho2ZnTe4 with its theoretical XRD peak list. Radiation: Cu Kα (λ = 1.5418 Å). Structure: a structure optimized by DFT (GGA-PBE).
Neutral-atom scattering factors, no anomalous dispersion.

Crystal structure
Cell: 6.7557 6.7557 12.4130 Å, 90.00 90.00 90.00°
Space group I-42m (No. 121)
One atom of each set of equivalent atoms:
Ho1 0.0000 0.5000 0.2500
Zn1 0.0000 0.0000 0.0000
Te1 0.2437 0.2437 0.1107

Most intense lines, 10° ≤ 2θ ≤ 90°, by angle:
hkl	two_theta	d/Å	intensity
1 1 0	18.6	4.777	14
1 1 2	23.5	3.786	100
2 0 2	30.1	2.967	16
2 2 0	37.7	2.388	29
2 0 4	39.4	2.285	48
3 1 2	44.9	2.020	35
1 1 6	47.9	1.898	13
4 0 0	54.3	1.689	10
3 1 6	62.5	1.486	11
4 2 4	69.2	1.358	18

=====

This entry pairs a crystal structure of Sr8CdAu2 with its theoretical XRD peak list. Radiation: Cu Kα (λ = 1.5418 Å). Structure: a structure optimized by DFT (GGA-PBE).
Neutral-atom scattering factors, no anomalous dispersion.

Crystal structure
Cell: 9.9745 14.6258 6.4247 Å, 90.00 104.83 90.00°
Space group Cm (No. 8)
One atom of each set of equivalent atoms:
Sr1 0.0000 0.0000 0.0000
Sr2 0.0726 0.3688 0.7817
Sr3 0.1736 0.1320 0.6018
Sr4 0.2485 0.5000 0.3919
Sr5 0.3726 0.2375 0.1933
Cd1 0.3753 0.0000 0.2865
Au1 0.3737 0.3124 0.6956

Most intense lines, 10° ≤ 2θ ≤ 90°, by angle:
hkl	two_theta	d/Å	intensity
0 0 1	14.3	6.211	55
0 2 1	18.7	4.734	38
1 3 1	26.3	3.384	60
0 4 1	28.3	3.151	66
3 1 -1	28.5	3.134	95
2 4 0	30.7	2.913	44
0 2 2	31.3	2.858	42
3 3 0	33.4	2.682	100
1 5 -1	34.1	2.626	60
3 3 -2	39.4	2.289	63

=====

This entry pairs a crystal structure of Li2YAl2Zn2 with its theoretical XRD peak list. Radiation: Cu Kα (λ = 1.5418 Å). Structure: a structure optimized by DFT (GGA-PBE).
Neutral-atom scattering factors, no anomalous dispersion.

Crystal structure
Cell: 7.8243 4.4767 7.4735 Å, 90.00 109.21 90.00°
Space group C2/m (No. 12)
One atom of each set of equivalent atoms:
Li1 0.1418 0.0000 0.4350
Y1 0.0000 0.0000 0.0000
Al1 0.0792 0.5000 0.7272
Zn1 0.2317 0.5000 0.2036

Most intense lines, 10° ≤ 2θ ≤ 90°, by angle:
hkl	two_theta	d/Å	intensity
0 0 1	12.5	7.057	100
1 1 1	28.4	3.148	86
2 0 -2	28.7	3.114	45
1 1 2	37.5	2.399	65
2 0 -3	38.0	2.369	30
3 1 -1	40.0	2.253	79
0 2 0	40.3	2.238	39
1 1 -3	41.5	2.177	20
2 2 -2	50.2	1.818	18
2 2 -3	56.6	1.627	18